Starting from a PBE-relaxed structure, the X-ray powder pattern of Li4CuP2O8 was simulated for Cu Kα.
Neutral-atom scattering factors, no anomalous dispersion.

Largest 10 diffraction maxima, in order of falling intensity, 10° ≤ 2θ ≤ 90°:
| h k l | 2theta | I/Imax |
| --- | --- | --- |
| 0 1 2 | 22.6 | 1000 |
| 1 -1 0 | 21.8 | 715 |
| 0 0 4 | 36.4 | 592 |
| 0 1 0 | 13.6 | 591 |
| 2 0 0 | 34.4 | 494 |
| 0 1 -1 | 16.3 | 360 |
| 1 0 1 | 19.3 | 350 |
| 1 1 -2 | 28.4 | 339 |
| 1 2 0 | 32.5 | 319 |
| -1 2 2 | 37.3 | 284 |

Structure:
a b c (Å): 5.212 6.501 9.874
angles (deg): 90.09 90.28 90.28
Sites, in units of the cell vectors:
Li 0.000 0.000 0.000
Li 0.001 0.009 0.500
Li 0.345 0.009 0.252
Li 0.347 0.007 0.749
Li 0.352 0.487 0.257
Li 0.825 0.757 0.261
Li 0.830 0.764 0.747
Li 0.986 0.499 0.495
Cu 0.360 0.486 0.741
Cu 0.982 0.496 0.017
P 0.485 0.753 0.000
P 0.490 0.756 0.500
P 0.843 0.245 0.247
P 0.857 0.242 0.745
O 0.349 0.554 0.552
O 0.349 0.942 0.558
O 0.350 0.944 0.053
O 0.353 0.555 0.054
O 0.477 0.750 0.343
O 0.486 0.750 0.840
O 0.558 0.247 0.281
O 0.568 0.246 0.782
O 0.776 0.753 0.049
O 0.777 0.751 0.547
O 0.880 0.238 0.088
O 0.906 0.257 0.594
O 0.977 0.049 0.303
O 0.977 0.450 0.295
O 0.978 0.044 0.804
O 0.988 0.444 0.812

***

Starting from a PBE-relaxed structure, the X-ray powder pattern of LiCu2PO4 was simulated for Cu Kα.
Neutral-atom scattering factors, no anomalous dispersion.

Largest 10 diffraction maxima, in order of falling intensity, 10° ≤ 2θ ≤ 90°:
| h k l | 2theta | I/Imax |
| --- | --- | --- |
| 0 2 0 | 33.1 | 1000 |
| 0 0 1 | 14.3 | 657 |
| 2 1 1 | 41.1 | 419 |
| 1 0 -1 | 20.9 | 415 |
| 1 1 0 | 23.2 | 407 |
| 1 0 -2 | 32.1 | 387 |
| 1 1 2 | 38.6 | 387 |
| 0 2 1 | 36.2 | 325 |
| 3 1 0 | 53.6 | 289 |
| 1 2 -1 | 39.4 | 281 |

Structure:
a b c (Å): 5.429 5.417 6.197
angles (deg): 90.00 94.94 90.00
Sites, in units of the cell vectors:
Li 0.172 0.000 0.032
Li 0.828 0.500 0.968
Cu 0.122 0.157 0.533
Cu 0.262 0.593 0.715
Cu 0.738 0.093 0.285
Cu 0.878 0.657 0.467
P 0.345 0.511 0.222
P 0.655 0.011 0.778
O 0.187 0.603 0.013
O 0.244 0.665 0.410
O 0.306 0.230 0.260
O 0.378 0.070 0.793
O 0.622 0.570 0.207
O 0.694 0.730 0.740
O 0.756 0.165 0.590
O 0.813 0.103 0.987

***

Repeat the first record exactly.
Starting from a PBE-relaxed structure, the X-ray powder pattern of Li4CuP2O8 was simulated for Cu Kα.
Neutral-atom scattering factors, no anomalous dispersion.

Largest 10 diffraction maxima, in order of falling intensity, 10° ≤ 2θ ≤ 90°:
| h k l | 2theta | I/Imax |
| --- | --- | --- |
| 0 1 2 | 22.6 | 1000 |
| 1 -1 0 | 21.8 | 715 |
| 0 0 4 | 36.4 | 592 |
| 0 1 0 | 13.6 | 591 |
| 2 0 0 | 34.4 | 494 |
| 0 1 -1 | 16.3 | 360 |
| 1 0 1 | 19.3 | 350 |
| 1 1 -2 | 28.4 | 339 |
| 1 2 0 | 32.5 | 319 |
| -1 2 2 | 37.3 | 284 |

Structure:
a b c (Å): 5.212 6.501 9.874
angles (deg): 90.09 90.28 90.28
Sites, in units of the cell vectors:
Li 0.000 0.000 0.000
Li 0.001 0.009 0.500
Li 0.345 0.009 0.252
Li 0.347 0.007 0.749
Li 0.352 0.487 0.257
Li 0.825 0.757 0.261
Li 0.830 0.764 0.747
Li 0.986 0.499 0.495
Cu 0.360 0.486 0.741
Cu 0.982 0.496 0.017
P 0.485 0.753 0.000
P 0.490 0.756 0.500
P 0.843 0.245 0.247
P 0.857 0.242 0.745
O 0.349 0.554 0.552
O 0.349 0.942 0.558
O 0.350 0.944 0.053
O 0.353 0.555 0.054
O 0.477 0.750 0.343
O 0.486 0.750 0.840
O 0.558 0.247 0.281
O 0.568 0.246 0.782
O 0.776 0.753 0.049
O 0.777 0.751 0.547
O 0.880 0.238 0.088
O 0.906 0.257 0.594
O 0.977 0.049 0.303
O 0.977 0.450 0.295
O 0.978 0.044 0.804
O 0.988 0.444 0.812

***

What did the first record say?
Starting from a PBE-relaxed structure, the X-ray powder pattern of Li4CuP2O8 was simulated for Cu Kα.
Neutral-atom scattering factors, no anomalous dispersion.

Largest 10 diffraction maxima, in order of falling intensity, 10° ≤ 2θ ≤ 90°:
| h k l | 2theta | I/Imax |
| --- | --- | --- |
| 0 1 2 | 22.6 | 1000 |
| 1 -1 0 | 21.8 | 715 |
| 0 0 4 | 36.4 | 592 |
| 0 1 0 | 13.6 | 591 |
| 2 0 0 | 34.4 | 494 |
| 0 1 -1 | 16.3 | 360 |
| 1 0 1 | 19.3 | 350 |
| 1 1 -2 | 28.4 | 339 |
| 1 2 0 | 32.5 | 319 |
| -1 2 2 | 37.3 | 284 |

Structure:
a b c (Å): 5.212 6.501 9.874
angles (deg): 90.09 90.28 90.28
Sites, in units of the cell vectors:
Li 0.000 0.000 0.000
Li 0.001 0.009 0.500
Li 0.345 0.009 0.252
Li 0.347 0.007 0.749
Li 0.352 0.487 0.257
Li 0.825 0.757 0.261
Li 0.830 0.764 0.747
Li 0.986 0.499 0.495
Cu 0.360 0.486 0.741
Cu 0.982 0.496 0.017
P 0.485 0.753 0.000
P 0.490 0.756 0.500
P 0.843 0.245 0.247
P 0.857 0.242 0.745
O 0.349 0.554 0.552
O 0.349 0.942 0.558
O 0.350 0.944 0.053
O 0.353 0.555 0.054
O 0.477 0.750 0.343
O 0.486 0.750 0.840
O 0.558 0.247 0.281
O 0.568 0.246 0.782
O 0.776 0.753 0.049
O 0.777 0.751 0.547
O 0.880 0.238 0.088
O 0.906 0.257 0.594
O 0.977 0.049 0.303
O 0.977 0.450 0.295
O 0.978 0.044 0.804
O 0.988 0.444 0.812